Theoretical powder X-ray diffraction pattern of Ho3NpO8 for Cu Kα, 1.54184 Å, from the PBE geometry in Alexandria.
Kinematic intensities with the Lorentz-polarization factor, no thermal factor.

Main lines, sorted by position (10 to 80 degrees two-theta):
5.301 Å, intensity 3, (1 0 0); 3.061 Å, intensity 100, (1 1 1); 2.651 Å, intensity 34, (2 0 0); 1.874 Å, intensity 50, (2 2 0); 1.598 Å, intensity 45, (3 1 1); 1.530 Å, intensity 10, (2 2 2); 1.325 Å, intensity 8, (4 0 0); 1.216 Å, intensity 18, (3 3 1)

Crystal structure
Cell: 5.301 5.301 5.301 Å, 90.00 90.00 90.00°
Space group Pm-3m (No. 221)
Symmetry-distinct sites (fractional):
Ho (0.000, 0.000, 0.500)
Np (0.500, 0.500, 0.500)
O (0.261, 0.261, 0.261)